Starting from a crystal structure in Alexandria, relaxed with PBE, the powder XRD pattern of TlCu3Te2 was simulated for Cu Ka.

```
TlCu3Te2
1.0
8.5664 0.0000 0.0000
0.0000 8.6240 0.0000
-8.3178 0.0000 14.6360
Tl Cu Te
8 24 16
Direct
0.0000 0.2144 0.0000
0.0000 0.7856 0.5000
0.2921 0.2297 0.2480
0.2921 0.7703 0.7480
0.5634 0.2215 0.5010
0.5634 0.7785 0.0010
0.7525 0.2582 0.7444
0.7525 0.7418 0.2444
0.1818 0.3588 0.4619
0.1818 0.6412 0.9619
0.2853 0.1597 0.5962
0.2853 0.8403 0.0962
0.2861 0.1696 0.9528
0.2861 0.8304 0.4528
0.2987 0.2421 0.7462
0.2987 0.7579 0.2462
0.4607 0.4412 0.0234
0.4607 0.5588 0.5234
0.5380 0.3816 0.8921
0.5380 0.6184 0.3921
0.6279 0.1838 0.0241
0.6279 0.8162 0.5241
0.7341 0.1201 0.3014
0.7341 0.8799 0.8014
0.8699 0.1302 0.1919
0.8699 0.8698 0.6919
0.9282 0.3795 0.2906
0.9282 0.6205 0.7906
0.9478 0.1712 0.4745
0.9478 0.8288 0.9745
0.9920 0.4463 0.5426
0.9920 0.5537 0.0426
0.0047 0.0920 0.6343
0.0047 0.9080 0.1343
0.0930 0.0872 0.3742
0.0930 0.9128 0.8742
0.2031 0.4153 0.8530
0.2031 0.5847 0.3530
0.3402 0.4550 0.6326
0.3402 0.5450 0.1326
0.4913 0.0768 0.1245
0.4913 0.9232 0.6245
0.5754 0.0787 0.8674
0.5754 0.9213 0.3674
0.7384 0.4098 0.3732
0.7384 0.5902 0.8732
0.8146 0.4247 0.1177
0.8146 0.5753 0.6177
```

Largest 6 diffraction maxima, by intensity, 10 to 90 degrees two-theta:
two_theta, I_rel
32.08, 100.0
32.86, 79.8
33.05, 78.2
29.40, 70.1
31.89, 63.7
32.45, 44.4

***

Starting from a crystal structure in Alexandria, relaxed with PBE, the powder XRD pattern of UTlCu2Te4 was simulated for Cu Ka.

```
UTlCu2Te4
1.0
-3.6059 3.8859 4.0010
3.6059 -3.8859 4.0010
3.6059 3.8859 -4.0010
U Tl Cu Te
1 1 2 4
Direct
0.0000 0.0000 0.0000
0.5000 0.5000 0.0000
0.1576 0.6576 0.5000
0.8424 0.3424 0.5000
0.0294 0.0496 0.4860
0.4365 0.9504 0.9798
0.5635 0.5433 0.5140
0.9706 0.4567 0.0202
```

Largest 6 diffraction maxima, by intensity, 10 to 90 degrees two-theta:
two_theta, I_rel
33.91, 100.0
27.97, 91.7
32.11, 63.0
33.45, 57.9
16.77, 39.6
48.66, 31.4

***

Starting from a crystal structure in Alexandria, relaxed with PBE, the powder XRD pattern of UTl2Cu2Te4 was simulated for Cu Ka.

```
UTl2Cu2Te4
1.0
7.8067 -2.1502 0.0000
7.8067 2.1502 0.0000
-2.7674 0.0000 8.0571
U Tl Cu Te
1 2 2 4
Direct
0.0000 0.0000 0.0000
0.1358 0.1358 0.5681
0.8642 0.8642 0.4319
0.3155 0.3155 0.0061
0.6845 0.6845 0.9939
0.2027 0.2027 0.1882
0.4765 0.4765 0.2391
0.5235 0.5235 0.7609
0.7973 0.7973 0.8118
```

Largest 6 diffraction maxima, by intensity, 10 to 90 degrees two-theta:
two_theta, I_rel
29.54, 100.0
29.71, 46.6
31.91, 45.8
42.02, 34.6
35.55, 31.5
31.53, 31.0

***

Starting from a crystal structure in Alexandria, relaxed with PBE, the powder XRD pattern of U4CuTe12 was simulated for Cu Ka.

```
U4CuTe12
1.0
6.1055 -4.1994 0.0000
6.1055 4.1994 0.0000
-4.3947 0.0000 10.3843
U Cu Te
4 1 12
Direct
0.0000 0.0000 0.0000
0.3899 0.8868 0.6805
0.5022 0.5022 0.9991
0.8868 0.3899 0.6805
0.0099 0.0099 0.3057
0.1732 0.6737 0.7795
0.1861 0.6796 0.1670
0.2056 0.2056 0.5142
0.2158 0.2158 0.9000
0.4337 0.9322 0.1676
0.4555 0.4555 0.5084
0.6737 0.1732 0.7795
0.6796 0.1861 0.1670
0.6981 0.6981 0.5107
0.7154 0.7154 0.9012
0.9322 0.4337 0.1676
0.9514 0.9514 0.5101
```

Largest 6 diffraction maxima, by intensity, 10 to 90 degrees two-theta:
two_theta, I_rel
27.31, 100.0
38.54, 34.7
36.72, 26.5
31.83, 24.3
43.08, 23.2
32.26, 16.9

***

Starting from a crystal structure in Alexandria, relaxed with PBE, the powder XRD pattern of V4CuTe8 was simulated for Cu Ka.

```
V4CuTe8
1.0
0.0000 5.4766 5.4766
5.4766 0.0000 5.4766
5.4766 5.4766 0.0000
V Cu Te
4 1 8
Direct
0.3919 0.3919 0.3919
0.3919 0.3919 0.8244
0.3919 0.8244 0.3919
0.8244 0.3919 0.3919
0.0000 0.0000 0.0000
0.1024 0.6325 0.6325
0.1356 0.1356 0.1356
0.1356 0.1356 0.5932
0.1356 0.5932 0.1356
0.5932 0.1356 0.1356
0.6325 0.1024 0.6325
0.6325 0.6325 0.1024
0.6325 0.6325 0.6325
```

Largest 6 diffraction maxima, by intensity, 10 to 90 degrees two-theta:
two_theta, I_rel
28.22, 100.0
32.70, 96.6
46.93, 82.0
55.66, 43.3
78.03, 21.7
87.20, 20.4

***

Starting from a crystal structure in Alexandria, relaxed with PBE, the powder XRD pattern of Y2CuTe4 was simulated for Cu Ka.

```
Y2CuTe4
1.0
7.5772 0.0000 0.0000
0.0000 6.2433 0.0000
-2.4346 0.0000 8.2626
Y Cu Te
4 2 8
Direct
0.2189 0.2500 0.4291
0.2505 0.2500 0.9379
0.7495 0.7500 0.0621
0.7811 0.7500 0.5709
0.2200 0.7500 0.6781
0.7800 0.2500 0.3219
0.0712 0.7500 0.3755
0.0778 0.7500 0.9105
0.4911 0.5041 0.2527
0.4911 0.9959 0.2527
0.5089 0.0041 0.7473
0.5089 0.4959 0.7473
0.9222 0.2500 0.0895
0.9288 0.2500 0.6245
```

Largest 6 diffraction maxima, by intensity, 10 to 90 degrees two-theta:
two_theta, I_rel
31.20, 100.0
27.71, 91.2
36.07, 55.3
41.95, 32.5
31.28, 30.7
53.19, 28.2

***

Starting from a crystal structure in Alexandria, relaxed with PBE, the powder XRD pattern of YCuTe2 was simulated for Cu Ka.

```
YCuTe2
1.0
4.3653 0.0000 0.0000
-2.1826 3.7804 0.0000
0.0000 0.0000 6.9186
Y Cu Te
1 1 2
Direct
0.0000 0.0000 0.0000
0.3333 0.6667 0.6271
0.3333 0.6667 0.2459
0.6667 0.3333 0.7240
```

Largest 6 diffraction maxima, by intensity, 10 to 90 degrees two-theta:
two_theta, I_rel
26.87, 100.0
41.37, 57.0
35.16, 53.5
46.10, 30.8
50.02, 17.8
49.37, 15.0

***

Starting from a crystal structure in Alexandria, relaxed with PBE, the powder XRD pattern of ZnCuTe2 was simulated for Cu Ka.

```
ZnCuTe2
1.0
4.2309 0.0000 0.0000
0.0000 7.3549 0.0000
-4.2331 0.0000 7.0609
Zn Cu Te
2 2 4
Direct
0.0000 0.0880 0.0000
0.0000 0.9120 0.5000
0.4964 0.4220 0.4945
0.4964 0.5780 0.9945
0.1329 0.4271 0.1315
0.1329 0.5729 0.6315
0.6230 0.0936 0.6234
0.6230 0.9064 0.1234
```

Largest 6 diffraction maxima, by intensity, 10 to 90 degrees two-theta:
two_theta, I_rel
24.25, 100.0
27.38, 97.2
45.80, 95.2
25.23, 61.6
42.62, 57.4
35.27, 38.0

***

Starting from a crystal structure in Alexandria, relaxed with PBE, the powder XRD pattern of ZnCuTe2 was simulated for Cu Ka.

```
ZnCuTe2
1.0
7.2067 0.0000 0.0000
0.0000 4.2053 0.0000
-2.3210 0.0000 6.9772
Zn Cu Te
2 2 4
Direct
0.1380 0.2500 0.1282
0.8620 0.7500 0.8718
0.3878 0.2500 0.8993
0.6122 0.7500 0.1007
0.0017 0.2500 0.7330
0.4723 0.7500 0.7281
0.5277 0.2500 0.2719
0.9983 0.7500 0.2670
```

Largest 6 diffraction maxima, by intensity, 10 to 90 degrees two-theta:
two_theta, I_rel
26.03, 100.0
42.71, 38.7
43.38, 37.5
25.53, 27.4
50.72, 22.0
43.02, 20.5